ZnCoHRh2: calculated XRD peak list (Cu Kα (λ = 1.5418 Å)), based on a DFT-relaxed cell (GGA-PBE, Alexandria).
Peak positions follow from Bragg's law for the DFT cell and can differ from measured ones.

Atomic structure:
a b c (Å): 3.918 3.918 3.587
angles (deg): 90.00 90.00 90.00
Space group P4/mmm (No. 123)
Symmetry-distinct sites (fractional):
Zn1 0.000 0.000 0.000
Co1 0.500 0.500 0.000
H1 0.500 0.500 0.500
Rh1 0.000 0.500 0.500

Main lines, in order of rising 2θ (2θ = 5–70°):
2θ = 24.82°, intensity 5; 2θ = 32.32°, intensity 5; 2θ = 41.17°, intensity 100; 2θ = 46.35°, intensity 36; 2θ = 50.92°, intensity 13; 2θ = 53.28°, intensity 3; 2θ = 61.60°, intensity 2; 2θ = 67.64°, intensity 11